Na2VP2O8: calculated powder diffractogram (a wavelength of 1.5418 Å), based on a DFT-relaxed cell (GGA+U, Alexandria).
Neutral-atom scattering factors, no anomalous dispersion.

Crystal structure
Cell lengths 8.3506, 8.3506, 5.0168 Å; angles 90.00, 90.00, 90.00 degrees
Element x y z (fractional)
Na: 0.1763 0.3237 0.0000
Na: 0.3237 0.8237 0.0000
Na: 0.6763 0.1763 0.0000
Na: 0.8237 0.6763 0.0000
V: 0.0000 0.0000 0.4481
V: 0.5000 0.5000 0.4481
P: 0.1290 0.6290 0.4642
P: 0.3710 0.1290 0.4642
P: 0.6290 0.8710 0.4642
P: 0.8710 0.3710 0.4642
O: 0.0000 0.0000 0.7735
O: 0.0000 0.5000 0.3447
O: 0.0767 0.7860 0.3278
O: 0.1288 0.6288 0.7635
O: 0.2140 0.0767 0.3278
O: 0.2860 0.5767 0.3278
O: 0.3712 0.1288 0.7635
O: 0.4233 0.2860 0.3278
O: 0.5000 0.0000 0.3447
O: 0.5000 0.5000 0.7735
O: 0.5767 0.7140 0.3278
O: 0.6288 0.8712 0.7635
O: 0.7140 0.4233 0.3278
O: 0.7860 0.9233 0.3278
O: 0.8712 0.3712 0.7635
O: 0.9233 0.2140 0.3278

The 12 most intense peaks (2θ = 5–70°), by angle:
2theta, d/Å, I/Imax
17.7, 5.017, 84
21.3, 4.175, 13
23.8, 3.735, 41
27.8, 3.209, 47
29.8, 2.996, 100
30.3, 2.952, 15
33.9, 2.641, 50
35.8, 2.508, 22
38.5, 2.337, 18
48.8, 1.867, 20
50.2, 1.819, 17
66.1, 1.413, 14